Simulated powder diffractogram
Compound: Mg3Si2
Radiation: Cu Kα (weighted mean of Kα1 and Kα2)
Structure: a crystal structure in the Materials Project, relaxed with GGA-PBE

Cell and atoms:
```
Mg3Si2
1.0
5.2951 0.0000 0.0000
0.0000 5.3618 0.0000
-1.8593 0.0000 13.3784
Mg Si
12 8
direct
0.1453 0.1337 0.2397
0.1453 0.3663 0.7397
0.2463 0.1533 0.9911
0.2463 0.3467 0.4911
0.3247 0.6134 0.1260
0.3247 0.8866 0.6260
0.6753 0.1134 0.3740
0.6753 0.3866 0.8740
0.7537 0.6533 0.5089
0.7537 0.8467 0.0089
0.8547 0.6337 0.2603
0.8547 0.8663 0.7603
0.1618 0.6403 0.9234
0.1618 0.8597 0.4234
0.3980 0.5766 0.3304
0.3980 0.9234 0.8304
0.6020 0.0766 0.1696
0.6020 0.4234 0.6696
0.8382 0.1403 0.5766
0.8382 0.3597 0.0766
```

Principal peaks in the range 15 to 90 degrees two-theta, by intensity:
| 2theta | I_rel | h k l |
| --- | --- | --- |
| 37.90 | 100 | 1 2 -1 |
| 34.13 | 88 | 2 0 0 |
| 37.76 | 74 | 1 1 4 |
| 41.78 | 58 | 1 0 -6 |
| 37.57 | 44 | 0 1 5 |
| 39.66 | 28 | 2 1 1 |
| 40.69 | 23 | 2 0 -4 |
| 33.71 | 21 | 1 0 4 |